Diffraction record for Tm2BiPO6. The powder diffraction line list is calculated, not measured: it uses the GGA-PBE geometry in OQMD and Cu Kα.

The 8 most intense peaks (10 to 80 degrees two-theta), in order of falling intensity:
Position (°2θ)	I (rel.)	hkl
30.95	1000	2 2 1
26.63	281	0 4 0
28.39	206	1 3 1
49.81	191	2 6 1
33.76	191	0 0 2
58.65	178	2 2 3
43.51	158	0 4 2
12.85	128	1 1 0

Cell and atoms:
Cell: 8.0326 13.3873 5.3095 Å, 90.00 90.00 90.00°
Space group Cmcm (No. 63)
Asymmetric unit:
Tm1 0.2346 0.1099 0.2500 (multiplicity 8)
Bi1 0.0000 0.3857 0.2500 (multiplicity 4)
P1 0.0000 0.1780 0.7500 (multiplicity 4)
O1 0.0000 0.1144 0.5036 (multiplicity 8)
O2 0.1648 0.2371 0.7500 (multiplicity 8)
O3 0.1759 0.5000 0.0000 (multiplicity 8)